Entry 1:
Starting from a structure optimized by DFT (GGA-PBE), the powder XRD pattern of PmDy4Mg was simulated for Cu Ka.

Principal peaks in the range 10 to 90 degrees two-theta, in order of rising 2θ:
2θ 30.00, d 2.979, rel. 17
2θ 30.61, d 2.921, rel. 7
2θ 31.91, d 2.805, rel. 100
2θ 32.08, d 2.790, rel. 22
2θ 32.84, d 2.728, rel. 26
2θ 44.93, d 2.018, rel. 9
2θ 46.57, d 1.950, rel. 16
2θ 56.27, d 1.635, rel. 7
2θ 56.75, d 1.622, rel. 9
2θ 57.08, d 1.614, rel. 12
2θ 58.04, d 1.589, rel. 18
2θ 66.70, d 1.402, rel. 9

Atomic structure:
```
data_PmDy4Mg
_cell_length_a 6.639
_cell_length_b 6.639
_cell_length_c 11.159
_cell_angle_alpha 90.00
_cell_angle_beta 90.00
_cell_angle_gamma 131.48
_symmetry_space_group_name_H-M 'P 1'
_symmetry_Int_Tables_number 1
loop_
_symmetry_equiv_pos_as_xyz
'x,y,z'
loop_
_atom_site_label
_atom_site_fract_x
_atom_site_fract_y
_atom_site_fract_z
Pm1 0.177 0.823 0.500
Pm2 0.823 0.177 0.000
Dy1 0.020 0.980 0.216
Dy2 0.173 0.827 0.940
Dy3 0.319 0.681 0.219
Dy4 0.498 0.502 0.473
Dy5 0.502 0.498 0.973
Dy6 0.681 0.319 0.719
Dy7 0.827 0.173 0.440
Dy8 0.980 0.020 0.716
Mg1 0.347 0.653 0.724
Mg2 0.653 0.347 0.224
```

Entry 2:
Starting from a structure optimized by DFT (GGA-PBE), the powder XRD pattern of PuTlSe2O8 was simulated for Cu Ka.

Principal peaks in the range 10 to 90 degrees two-theta, in order of rising 2θ:
2θ 16.32, d 5.431, rel. 60
2θ 20.06, d 4.427, rel. 17
2θ 28.52, d 3.130, rel. 100
2θ 37.08, d 2.424, rel. 14
2θ 40.76, d 2.214, rel. 24
2θ 44.11, d 2.053, rel. 9
2θ 50.45, d 1.809, rel. 35
2θ 50.64, d 1.803, rel. 11
2θ 58.90, d 1.568, rel. 8
2θ 66.75, d 1.401, rel. 11
2θ 66.89, d 1.399, rel. 10
2θ 81.18, d 1.185, rel. 11

Atomic structure:
```
data_PuTlSe2O8
_cell_length_a 6.272
_cell_length_b 6.272
_cell_length_c 7.644
_cell_angle_alpha 90.00
_cell_angle_beta 90.00
_cell_angle_gamma 120.00
_symmetry_space_group_name_H-M 'P 1'
_symmetry_Int_Tables_number 1
loop_
_symmetry_equiv_pos_as_xyz
'x,y,z'
loop_
_atom_site_label
_atom_site_fract_x
_atom_site_fract_y
_atom_site_fract_z
Pu1 0.000 0.000 0.000
Tl1 0.000 0.000 0.500
Se1 0.333 0.667 0.811
Se2 0.667 0.333 0.189
O1 0.151 0.301 0.844
O2 0.151 0.849 0.844
O3 0.301 0.151 0.156
O4 0.333 0.667 0.597
O5 0.667 0.333 0.403
O6 0.699 0.849 0.844
O7 0.849 0.151 0.156
O8 0.849 0.699 0.156
```

Entry 3:
Starting from a structure optimized by DFT (GGA-PBE), the powder XRD pattern of CaPm3Al8 was simulated for Cu Ka.

Principal peaks in the range 10 to 90 degrees two-theta, in order of rising 2θ:
2θ 18.08, d 4.907, rel. 41
2θ 20.50, d 4.332, rel. 43
2θ 26.52, d 3.361, rel. 25
2θ 31.58, d 2.833, rel. 71
2θ 34.42, d 2.606, rel. 100
2θ 37.25, d 2.414, rel. 72
2θ 37.95, d 2.371, rel. 40
2θ 58.08, d 1.588, rel. 42
2θ 60.01, d 1.542, rel. 18
2θ 63.04, d 1.475, rel. 20
2θ 65.94, d 1.417, rel. 17
2θ 76.55, d 1.245, rel. 19

Atomic structure:
```
data_CaPm3Al8
_cell_length_a 5.666
_cell_length_b 5.666
_cell_length_c 9.225
_cell_angle_alpha 90.00
_cell_angle_beta 90.00
_cell_angle_gamma 120.00
_symmetry_space_group_name_H-M 'P 1'
_symmetry_Int_Tables_number 1
loop_
_symmetry_equiv_pos_as_xyz
'x,y,z'
loop_
_atom_site_label
_atom_site_fract_x
_atom_site_fract_y
_atom_site_fract_z
Ca1 0.000 0.000 0.000
Pm1 0.000 0.000 0.364
Pm2 0.667 0.333 0.504
Pm3 0.667 0.333 0.869
Al1 0.162 0.325 0.682
Al2 0.162 0.838 0.682
Al3 0.333 0.667 0.431
Al4 0.333 0.667 0.935
Al5 0.505 0.010 0.185
Al6 0.505 0.495 0.185
Al7 0.675 0.838 0.682
Al8 0.990 0.495 0.185
```

Entry 4:
Starting from a structure optimized by DFT (GGA-PBE), the powder XRD pattern of CoNi5Pd2 was simulated for Cu Ka.

Principal peaks in the range 10 to 90 degrees two-theta, in order of rising 2θ:
2θ 35.40, d 2.535, rel. 11
2θ 39.03, d 2.308, rel. 18
2θ 39.17, d 2.300, rel. 20
2θ 41.00, d 2.201, rel. 31
2θ 43.38, d 2.086, rel. 100
2θ 46.00, d 1.973, rel. 49
2θ 46.12, d 1.968, rel. 22
2θ 47.84, d 1.902, rel. 29
2θ 51.18, d 1.785, rel. 41
2θ 53.82, d 1.703, rel. 12
2θ 77.52, d 1.231, rel. 25
2θ 88.91, d 1.101, rel. 23

Atomic structure:
```
data_CoNi5Pd2
_cell_length_a 8.109
_cell_length_b 8.109
_cell_length_c 8.109
_cell_angle_alpha 161.61
_cell_angle_beta 144.16
_cell_angle_gamma 40.57
_symmetry_space_group_name_H-M 'P 1'
_symmetry_Int_Tables_number 1
loop_
_symmetry_equiv_pos_as_xyz
'x,y,z'
loop_
_atom_site_label
_atom_site_fract_x
_atom_site_fract_y
_atom_site_fract_z
Co1 0.000 0.000 0.000
Ni1 0.138 0.389 0.749
Ni2 0.359 0.611 0.749
Ni3 0.500 0.000 0.500
Ni4 0.641 0.389 0.251
Ni5 0.862 0.611 0.251
Pd1 0.261 0.761 0.500
Pd2 0.739 0.239 0.500
```

Entry 5:
Starting from a structure optimized by DFT (GGA-PBE), the powder XRD pattern of YZn was simulated for Cu Ka.

Principal peaks in the range 10 to 90 degrees two-theta, in order of rising 2θ:
2θ 28.80, d 3.100, rel. 10
2θ 30.31, d 2.948, rel. 18
2θ 32.68, d 2.740, rel. 100
2θ 33.45, d 2.679, rel. 38
2θ 36.67, d 2.450, rel. 85
2θ 41.86, d 2.158, rel. 32
2θ 44.91, d 2.019, rel. 22
2θ 45.05, d 2.012, rel. 14
2θ 54.61, d 1.681, rel. 18
2θ 63.05, d 1.474, rel. 17
2θ 69.69, d 1.349, rel. 16
2θ 73.05, d 1.295, rel. 10

Atomic structure:
```
data_YZn
_cell_length_a 6.524
_cell_length_b 6.524
_cell_length_c 6.524
_cell_angle_alpha 141.36
_cell_angle_beta 70.77
_cell_angle_gamma 123.25
_symmetry_space_group_name_H-M 'P 1'
_symmetry_Int_Tables_number 1
loop_
_symmetry_equiv_pos_as_xyz
'x,y,z'
loop_
_atom_site_label
_atom_site_fract_x
_atom_site_fract_y
_atom_site_fract_z
Y1 0.000 0.000 0.000
Y2 0.110 0.795 0.315
Y3 0.480 0.795 0.685
Zn1 0.512 0.512 0.000
Zn2 0.630 0.253 0.377
Zn3 0.876 0.253 0.623
```

Entry 6:
Starting from a structure optimized by DFT (GGA-PBE), the powder XRD pattern of BaFe3Ni was simulated for Cu Ka.

Principal peaks in the range 10 to 90 degrees two-theta, in order of rising 2θ:
2θ 27.17, d 3.282, rel. 70
2θ 33.44, d 2.680, rel. 86
2θ 38.81, d 2.321, rel. 100
2θ 48.02, d 1.895, rel. 29
2θ 56.04, d 1.641, rel. 65
2θ 63.37, d 1.468, rel. 13
2θ 66.86, d 1.399, rel. 32
2θ 70.25, d 1.340, rel. 21
2θ 76.85, d 1.240, rel. 15
2θ 83.27, d 1.160, rel. 10
2θ 89.61, d 1.094, rel. 8

Atomic structure:
```
data_BaFe3Ni
_cell_length_a 4.641
_cell_length_b 4.641
_cell_length_c 4.641
_cell_angle_alpha 90.00
_cell_angle_beta 90.00
_cell_angle_gamma 90.00
_symmetry_space_group_name_H-M 'P 1'
_symmetry_Int_Tables_number 1
loop_
_symmetry_equiv_pos_as_xyz
'x,y,z'
loop_
_atom_site_label
_atom_site_fract_x
_atom_site_fract_y
_atom_site_fract_z
Ba1 0.000 0.000 0.000
Fe1 0.000 0.500 0.500
Fe2 0.500 0.000 0.500
Fe3 0.500 0.500 0.000
Ni1 0.500 0.500 0.500
```